Structure and computed X-ray diffraction stick pattern of Gd2Zn17 (a DFT-relaxed cell (PBE, Alexandria); a wavelength of 1.5418 Å).

Crystal structure
Lattice parameters (Å, degrees): 8.9907 8.9907 13.1891 90.00 90.00 120.00
Space group R-3m (No. 166, hexagonal axes)
Symmetry-distinct sites (fractional):
Gd 0.0000 0.0000 0.1642 x6
Zn 0.0000 0.0000 0.4003 x6
Zn 0.0000 0.2962 0.5000 x18
Zn 0.0000 0.5000 0.0000 x9
Zn 0.0094 0.5047 0.6526 x18

Peak list (12 most intense, 2θ = 15–90°, in order of rising 2θ)
hkl	2θ/deg	d_spacing	I/Imax
1 1 3	28.4	3.143	27
3 0 0	34.6	2.595	39
0 2 4	35.7	2.516	25
2 2 0	40.1	2.248	60
0 3 3	40.4	2.235	100
0 0 6	41.1	2.197	47
2 0 5	41.3	2.184	20
2 2 3	45.3	2.001	29
2 2 6	58.8	1.571	22
3 3 3	65.8	1.418	17
6 0 0	72.9	1.297	24
0 3 9	74.3	1.276	20

Structure and computed X-ray diffraction stick pattern of HoTl6Pd12 (a DFT-relaxed cell (PBE, Alexandria); a wavelength of 1.5418 Å).

Crystal structure
Lattice parameters (Å, degrees): 11.5337 11.5337 9.6285 90.00 90.00 120.00
Space group R-3 (No. 148, hexagonal axes)
Symmetry-distinct sites (fractional):
Ho 0.0000 0.0000 0.0000 x3
Tl 0.0678 0.1850 0.7315 x18
Pd 0.0168 0.2587 0.0012 x18
Pd 0.0610 0.5111 0.1228 x18

Peak list (12 most intense, 2θ = 15–90°, in order of rising 2θ)
hkl	2θ/deg	d_spacing	I/Imax
2 1 1	25.3	3.515	38
4 -3 1	33.7	2.662	13
4 0 1	37.2	2.417	100
4 -1 2	37.5	2.401	34
1 0 4	38.5	2.340	44
0 3 3	39.0	2.311	62
0 4 2	40.7	2.217	40
1 4 0	41.4	2.180	16
2 2 3	42.1	2.145	15
3 1 5	58.4	1.581	19
8 -5 1	66.2	1.412	12
5 -4 6	73.2	1.292	17

Structure and computed X-ray diffraction stick pattern of CsInB2 (a DFT-relaxed cell (PBE, Alexandria); a wavelength of 1.5418 Å).

Crystal structure
Lattice parameters (Å, degrees): 5.265 5.265 15.118 90.00 90.00 90.00
Space group I4_1/amd (No. 141, origin choice 2)
Symmetry-distinct sites (fractional):
Cs 0.000 0.250 0.375 x4
In 0.000 0.250 0.875 x4
B 0.000 0.000 0.000 x8

Peak list (12 most intense, 2θ = 15–90°, in order of rising 2θ)
hkl	2θ/deg	d_spacing	I/Imax
0 0 4	23.5	3.780	29
1 1 2	26.7	3.340	100
2 0 0	34.1	2.633	26
2 0 4	41.8	2.160	29
1 1 6	43.4	2.087	27
2 2 0	48.9	1.862	8
2 2 4	55.0	1.670	14
3 1 2	56.6	1.626	24
2 0 8	60.3	1.535	10
1 1 10	66.8	1.401	7
3 1 6	67.4	1.389	14
4 2 4	86.6	1.124	7

Structure and computed X-ray diffraction stick pattern of CaBeO2 (a DFT-relaxed cell (PBE, Alexandria); a wavelength of 1.5418 Å).

Crystal structure
Lattice parameters (Å, degrees): 5.0903 5.0903 5.7515 90.00 90.00 120.00
Space group P3_121 (No. 152)
Symmetry-distinct sites (fractional):
Ca 0.0000 0.6520 0.1667 x3
Be 0.0000 0.5601 0.6667 x3
O 0.1476 0.4241 0.8719 x6

Peak list (12 most intense, 2θ = 15–90°, in order of rising 2θ)
hkl	2θ/deg	d_spacing	I/Imax
1 0 0	20.1	4.408	21
0 1 1	25.5	3.499	81
1 1 0	35.3	2.545	74
1 0 2	37.3	2.409	86
1 1 1	38.7	2.327	21
2 0 1	44.0	2.058	100
0 0 3	47.4	1.917	24
0 2 2	52.3	1.749	62
1 2 1	57.6	1.600	33
1 1 3	60.5	1.531	20
2 1 2	64.7	1.442	19
3 1 1	80.3	1.196	14

Structure and computed X-ray diffraction stick pattern of NdEr2AlPd4 (a DFT-relaxed cell (PBE, Alexandria); a wavelength of 1.5418 Å).

Crystal structure
Lattice parameters (Å, degrees): 4.7860 4.7860 24.6677 90.00 90.00 120.00
Space group R-3m (No. 166, hexagonal axes)
Symmetry-distinct sites (fractional):
Nd 0.0000 0.0000 0.0000 x3
Er 0.0000 0.0000 0.2423 x6
Al 0.0000 0.0000 0.5000 x3
Pd 0.0000 0.0000 0.1292 x6
Pd 0.0000 0.0000 0.3943 x6

Peak list (12 most intense, 2θ = 15–90°, in order of rising 2θ)
hkl	2θ/deg	d_spacing	I/Imax
0 0 6	21.6	4.111	10
0 1 5	28.1	3.173	19
1 0 7	33.4	2.685	6
0 1 8	36.3	2.474	83
1 1 0	37.6	2.393	100
1 1 6	43.8	2.068	11
0 1 11	46.0	1.972	8
2 0 8	53.3	1.720	27
1 0 16	64.5	1.445	7
1 2 8	67.0	1.397	27
3 0 0	67.8	1.382	17
2 2 0	80.2	1.196	11

Structure and computed X-ray diffraction stick pattern of Pm3CdBi2 (a DFT-relaxed cell (PBE, Alexandria); a wavelength of 1.5418 Å).

Crystal structure
Lattice parameters (Å, degrees): 14.454 6.415 9.108 90.00 108.36 90.00
Space group C2/c (No. 15)
Symmetry-distinct sites (fractional):
Pm 0.000 0.000 0.250 x4
Pm 0.175 0.500 0.087 x8
Cd 0.000 0.500 0.250 x4
Bi 0.165 0.000 0.082 x8

Peak list (12 most intense, 2θ = 15–90°, in order of rising 2θ)
hkl	2θ/deg	d_spacing	I/Imax
2 0 2	27.6	3.227	100
0 2 0	27.8	3.207	50
6 0 0	39.4	2.286	19
2 0 -4	39.6	2.275	97
6 2 0	48.9	1.862	21
2 2 -4	49.1	1.857	21
4 0 4	57.1	1.613	13
8 0 2	64.5	1.446	10
0 0 6	64.7	1.441	27
2 4 2	64.9	1.436	18
8 2 2	71.6	1.318	13
0 2 6	71.9	1.314	20